No. 1
Structure and calculated XRD peak list of Rb2CrAgF6 (DFT lattice parameters and positions (PBE+U); Cu Kα (λ = 1.5418 Å)).
No peak broadening, texture or thermal motion is included.

Atomic structure:
a b c (Å): 8.7782 8.7782 8.7782
angles (deg): 90.00 90.00 90.00
Space group Fm-3m (No. 225)
Inequivalent atoms, fractional coordinates:
Rb 0.2500 0.2500 0.2500 [8 per cell]
Cr 0.0000 0.0000 0.0000 [4 per cell]
Ag 0.0000 0.0000 0.5000 [4 per cell]
F 0.0000 0.0000 0.2215 [24 per cell]

Main lines, by intensity (2θ = 10–90°):
| (hkl) | two_theta | I (rel.) |
| --- | --- | --- |
| 2 2 0 | 28.77 | 100 |
| 4 0 0 | 41.13 | 40 |
| 4 2 2 | 50.97 | 37 |
| 4 4 0 | 59.58 | 23 |
| 6 4 2 | 82.17 | 21 |
| 6 2 0 | 67.48 | 18 |
| 4 4 4 | 74.95 | 7 |
| 3 1 1 | 33.87 | 6 |
| 2 2 2 | 35.42 | 6 |
| 3 3 1 | 45.02 | 5 |

=====

No. 2
Structure and calculated XRD peak list of Na2Fe2C4SO16 (DFT lattice parameters and positions (PBE+U); Cu Kα (λ = 1.5418 Å)).
No peak broadening, texture or thermal motion is included.

Atomic structure:
a b c (Å): 9.8568 9.8588 9.8633
angles (deg): 90.19 119.57 119.98
Space group P1 (No. 1)
Inequivalent atoms, fractional coordinates:
Na 0.0000 0.0000 0.0000 [1 per cell]
Na 0.0018 0.5731 0.5723 [1 per cell]
Na 0.0130 0.5740 0.0056 [1 per cell]
Na 0.4873 0.3122 0.8210 [1 per cell]
Fe 0.2505 0.1623 0.4128 [1 per cell]
Fe 0.2571 0.6608 0.4163 [1 per cell]
Fe 0.7468 0.1566 0.9128 [1 per cell]
Fe 0.7486 0.1574 0.4102 [1 per cell]
C 0.1735 0.3711 0.1996 [1 per cell]
C 0.1765 0.3749 0.5528 [1 per cell]
C 0.3217 0.9454 0.2716 [1 per cell]
C 0.3232 0.9480 0.6237 [1 per cell]
C 0.6782 0.3010 0.6286 [1 per cell]
C 0.6800 0.9494 0.6268 [1 per cell]
C 0.8249 0.0215 0.1991 [1 per cell]
C 0.8251 0.3748 0.2009 [1 per cell]
S 0.0003 0.7835 0.7891 [1 per cell]
S 0.4994 0.5353 0.0386 [1 per cell]
O 0.0305 0.2562 0.0561 [1 per cell]
O 0.0316 0.3458 0.5497 [1 per cell]
O 0.1171 0.7166 0.8432 [1 per cell]
O 0.1216 0.9684 0.8429 [1 per cell]
O 0.2021 0.5147 0.2253 [1 per cell]
O 0.2046 0.7988 0.2648 [1 per cell]
O 0.2115 0.2633 0.5607 [1 per cell]
O 0.2121 0.9784 0.5113 [1 per cell]
O 0.2852 0.0553 0.2637 [1 per cell]
O 0.2861 0.3424 0.3125 [1 per cell]
O 0.2883 0.8019 0.5961 [1 per cell]
O 0.2914 0.5175 0.5536 [1 per cell]
O 0.3765 0.3505 0.9793 [1 per cell]
O 0.3758 0.5960 0.9757 [1 per cell]
O 0.4674 0.0624 0.7663 [1 per cell]
O 0.4690 0.9764 0.2801 [1 per cell]
O 0.5322 0.2962 0.5988 [1 per cell]
O 0.5349 0.8095 0.5124 [1 per cell]
O 0.6244 0.5976 0.9774 [1 per cell]
O 0.6257 0.5959 0.2231 [1 per cell]
O 0.7094 0.0199 0.0571 [1 per cell]
O 0.7129 0.2595 0.2293 [1 per cell]
O 0.7132 0.3055 0.5180 [1 per cell]
O 0.7162 0.9757 0.7736 [1 per cell]
O 0.7888 0.3500 0.0525 [1 per cell]
O 0.7923 0.0633 0.5981 [1 per cell]
O 0.7948 0.3080 0.7754 [1 per cell]
O 0.7983 0.0214 0.3139 [1 per cell]
O 0.8790 0.7297 0.6052 [1 per cell]
O 0.8845 0.7279 0.8576 [1 per cell]
O 0.9664 0.0204 0.2246 [1 per cell]
O 0.9701 0.5169 0.3152 [1 per cell]

Main lines, by intensity (2θ = 10–90°):
| (hkl) | two_theta | I (rel.) |
| --- | --- | --- |
| 1 0 -1 | 10.98 | 100 |
| 2 0 -1 | 21.13 | 82 |
| 1 1 0 | 21.04 | 58 |
| -2 2 3 | 33.43 | 35 |
| 0 2 -3 | 33.32 | 33 |
| 1 1 -1 | 17.99 | 30 |
| 1 -1 1 | 17.89 | 26 |
| 2 2 -2 | 36.45 | 24 |
| 0 2 -2 | 25.47 | 21 |
| 2 0 1 | 33.21 | 20 |

=====

No. 3
Structure and calculated XRD peak list of TiNiO3 (DFT lattice parameters and positions (PBE+U); Cu Kα (λ = 1.5418 Å)).
No peak broadening, texture or thermal motion is included.

Atomic structure:
a b c (Å): 5.0626 5.4893 21.0101
angles (deg): 85.70 89.87 62.64
Space group P1 (No. 1)
Inequivalent atoms, fractional coordinates:
Ti 0.0000 0.0000 0.0000 [1 per cell]
Ti 0.9997 0.0016 0.1425 [1 per cell]
Ti 0.1975 0.6086 0.7410 [1 per cell]
Ti 0.2058 0.6135 0.5937 [1 per cell]
Ti 0.3943 0.2068 0.3411 [1 per cell]
Ti 0.4003 0.1988 0.1996 [1 per cell]
Ti 0.4870 0.0431 0.6344 [1 per cell]
Ti 0.5960 0.8027 0.8000 [1 per cell]
Ti 0.5993 0.8028 0.9428 [1 per cell]
Ti 0.7933 0.4037 0.4020 [1 per cell]
Ni 0.0798 0.8337 0.4368 [1 per cell]
Ni 0.1082 0.7807 0.3002 [1 per cell]
Ni 0.2913 0.4191 0.0408 [1 per cell]
Ni 0.3089 0.3817 0.9002 [1 per cell]
Ni 0.5102 0.9951 0.4954 [1 per cell]
Ni 0.6925 0.6176 0.2414 [1 per cell]
Ni 0.7104 0.5799 0.1009 [1 per cell]
Ni 0.7855 0.4267 0.5379 [1 per cell]
Ni 0.8913 0.2213 0.8407 [1 per cell]
Ni 0.9033 0.1919 0.7002 [1 per cell]
O 0.0084 0.6490 0.9586 [1 per cell]
O 0.0272 0.2310 0.0561 [1 per cell]
O 0.0518 0.5124 0.8145 [1 per cell]
O 0.1479 0.0929 0.9236 [1 per cell]
O 0.1670 0.3788 0.6835 [1 per cell]
O 0.1873 0.9538 0.7800 [1 per cell]
O 0.2256 0.2597 0.5639 [1 per cell]
O 0.2362 0.8485 0.6556 [1 per cell]
O 0.2519 0.1104 0.4154 [1 per cell]
O 0.3248 0.7216 0.5226 [1 per cell]
O 0.3723 0.9755 0.2808 [1 per cell]
O 0.3872 0.5558 0.3791 [1 per cell]
O 0.4085 0.8487 0.1587 [1 per cell]
O 0.4260 0.4312 0.2559 [1 per cell]
O 0.4555 0.7045 0.0159 [1 per cell]
O 0.5482 0.2922 0.1235 [1 per cell]
O 0.5727 0.5770 0.8810 [1 per cell]
O 0.5904 0.1498 0.9795 [1 per cell]
O 0.6033 0.4537 0.7594 [1 per cell]
O 0.6261 0.0327 0.8561 [1 per cell]
O 0.6305 0.3157 0.6213 [1 per cell]
O 0.7306 0.9037 0.7206 [1 per cell]
O 0.7650 0.1759 0.4770 [1 per cell]
O 0.7746 0.7838 0.5861 [1 per cell]
O 0.8041 0.0532 0.3565 [1 per cell]
O 0.8245 0.6427 0.4562 [1 per cell]
O 0.8552 0.9041 0.2155 [1 per cell]
O 0.9476 0.4916 0.3238 [1 per cell]
O 0.9728 0.7753 0.0810 [1 per cell]
O 0.9906 0.3491 0.1795 [1 per cell]

Main lines, by intensity (2θ = 10–90°):
| (hkl) | two_theta | I (rel.) |
| --- | --- | --- |
| 1 2 1 | 32.81 | 100 |
| 1 1 7 | 35.43 | 78 |
| 2 -1 2 | 53.46 | 41 |
| 1 0 3 | 23.96 | 38 |
| 0 2 8 | 49.00 | 26 |
| 3 2 7 | 63.57 | 23 |
| 2 3 8 | 61.93 | 22 |
| 1 2 -9 | 53.59 | 20 |
| -1 1 6 | 40.52 | 17 |
| 2 2 -6 | 49.17 | 12 |

=====

Please write out number 1 again, unchanged.
Structure and calculated XRD peak list of Rb2CrAgF6 (DFT lattice parameters and positions (PBE+U); Cu Kα (λ = 1.5418 Å)).
No peak broadening, texture or thermal motion is included.

Atomic structure:
a b c (Å): 8.7782 8.7782 8.7782
angles (deg): 90.00 90.00 90.00
Space group Fm-3m (No. 225)
Inequivalent atoms, fractional coordinates:
Rb 0.2500 0.2500 0.2500 [8 per cell]
Cr 0.0000 0.0000 0.0000 [4 per cell]
Ag 0.0000 0.0000 0.5000 [4 per cell]
F 0.0000 0.0000 0.2215 [24 per cell]

Main lines, by intensity (2θ = 10–90°):
| (hkl) | two_theta | I (rel.) |
| --- | --- | --- |
| 2 2 0 | 28.77 | 100 |
| 4 0 0 | 41.13 | 40 |
| 4 2 2 | 50.97 | 37 |
| 4 4 0 | 59.58 | 23 |
| 6 4 2 | 82.17 | 21 |
| 6 2 0 | 67.48 | 18 |
| 4 4 4 | 74.95 | 7 |
| 3 1 1 | 33.87 | 6 |
| 2 2 2 | 35.42 | 6 |
| 3 3 1 | 45.02 | 5 |